Record 1
This entry pairs a crystal structure of Zn4TeO3 with its calculated powder XRD pattern. Radiation: a wavelength of 1.5418 Å. Structure: a PBE-relaxed structure.

Atomic structure:
```
Zn4TeO3
1.0
3.4439 0.0000 0.0000
0.0000 3.6325 5.1107
0.0000 -3.6325 5.1107
Zn Te O
4 1 3
Cartesian
0.0000 0.0000 0.0000
0.0000 0.0000 4.5473
1.7219 -1.5057 2.6846
1.7219 1.5057 2.6846
1.7219 0.0000 6.4248
0.0000 -1.8201 3.7765
0.0000 1.8201 3.7765
1.7219 0.0000 1.2389
```

Top 12 peaks for 5 to 70 degrees two-theta, in order of falling intensity:
2.856 Å, rel. 100.0
2.961 Å, rel. 81.1
1.787 Å, rel. 59.5
2.298 Å, rel. 30.1
5.922 Å, rel. 27.8
1.945 Å, rel. 27.4
2.245 Å, rel. 26.9
2.977 Å, rel. 20.9
1.533 Å, rel. 20.2
1.722 Å, rel. 19.7
3.085 Å, rel. 19.4
1.489 Å, rel. 18.2

Record 2
This entry pairs a crystal structure of Zn2Te2O7 with its calculated powder XRD pattern. Radiation: a wavelength of 1.5418 Å. Structure: a PBE-relaxed structure.

Atomic structure:
```
Zn2Te2O7
1.0
5.3731 0.0000 0.0000
-0.2805 5.4706 0.0000
-0.0763 -1.3490 10.5873
Zn Te O
4 4 14
Cartesian
0.0000 0.0000 0.0000
0.4169 3.1362 2.8181
2.6073 -0.8528 8.4037
3.1030 3.4568 5.0463
0.9820 -0.0726 5.4193
1.9796 2.9038 0.0341
3.2709 0.9522 2.7870
4.7835 2.1273 7.9653
0.3980 0.5971 7.1716
0.4621 3.8174 0.8750
1.0581 2.5870 8.8705
1.3315 -0.1102 9.8631
1.4675 4.2897 3.9885
1.7686 1.9122 1.9175
1.8301 1.4671 4.7573
1.9389 4.3881 6.4955
3.5748 0.9137 8.7087
4.0310 2.5979 3.4311
3.9059 3.5283 9.0196
4.2132 1.0369 1.1381
4.6380 -0.2243 4.6627
4.5708 2.9683 6.3319
```

Top 12 peaks for 5 to 70 degrees two-theta, in order of falling intensity:
3.280 Å, rel. 100.0
3.619 Å, rel. 89.0
3.034 Å, rel. 83.8
2.647 Å, rel. 48.4
3.408 Å, rel. 46.5
3.743 Å, rel. 36.3
4.599 Å, rel. 29.6
2.713 Å, rel. 26.7
3.191 Å, rel. 22.5
2.609 Å, rel. 22.5
2.692 Å, rel. 21.4
3.146 Å, rel. 20.3

Record 3
This entry pairs a crystal structure of ZrZnTe2O8 with its calculated powder XRD pattern. Radiation: a wavelength of 1.5418 Å. Structure: a PBE-relaxed structure.

Atomic structure:
```
ZrZnTe2O8
1.0
-3.4900 3.4900 3.4090
3.4900 -3.4900 3.4090
3.4900 3.4900 -3.4090
Zr Zn Te O
1 1 2 8
Cartesian
0.0000 0.0000 0.0000
3.4900 0.0000 1.7045
0.0000 0.0000 3.4090
0.0000 3.4900 1.7045
2.1636 3.4900 -1.4332
1.3265 0.0000 1.9758
0.0000 2.1105 0.3311
3.4900 2.1636 1.4332
0.0000 4.8695 0.3311
0.0000 1.3265 4.8422
-1.3795 3.4900 3.0779
1.3795 3.4900 3.0779
```

Top 12 peaks for 5 to 70 degrees two-theta, in order of falling intensity:
3.490 Å, rel. 100.0
2.805 Å, rel. 84.0
1.853 Å, rel. 68.2
2.468 Å, rel. 20.6
1.482 Å, rel. 20.1
1.745 Å, rel. 16.7
1.532 Å, rel. 16.4
1.561 Å, rel. 14.5
2.838 Å, rel. 13.8
1.402 Å, rel. 9.9
1.704 Å, rel. 7.2
4.877 Å, rel. 5.6